Entry 1:
# SmGa3Ni
Theoretical powder X-ray diffraction pattern, Cu Kα, 1.54184 Å. Input: a cell relaxed with GGA-PBE.
No peak broadening, texture or thermal motion is included.

```
data_SmGa3Ni
_symmetry_space_group_name_H-M 'I -4 m 2'
_symmetry_Int_Tables_number 119
_symmetry_space_group_name_Hall 'I -4 -2'
_cell_length_a 4.0986
_cell_length_b 4.0986
_cell_length_c 10.6138
_cell_angle_alpha 90.00
_cell_angle_beta 90.00
_cell_angle_gamma 90.00
loop_
_atom_site_label
_atom_site_type_symbol
_atom_site_fract_x
_atom_site_fract_y
_atom_site_fract_z
Sm1 Sm 0.0000 0.0000 0.0000
Ga1 Ga 0.0000 0.0000 0.3826
Ga2 Ga 0.0000 0.5000 0.2500
Ni1 Ni 0.0000 0.5000 0.7500
```

Peak list (6 most intense, 2θ from 15° to 90°, by angle)
2θ 33.5, I 71.3
2θ 35.3, I 100.0
2θ 44.2, I 54.7
2θ 48.3, I 33.9
2θ 56.5, I 31.4
2θ 67.5, I 24.4


Entry 2:
# MgSi2
Theoretical powder X-ray diffraction pattern, Cu Kα, 1.54184 Å. Input: a cell relaxed with GGA-PBE.
No peak broadening, texture or thermal motion is included.

```
data_MgSi2
_symmetry_space_group_name_H-M 'P 1'
_symmetry_Int_Tables_number 1
_cell_length_a 5.9989
_cell_length_b 7.0446
_cell_length_c 10.1225
_cell_angle_alpha 94.79
_cell_angle_beta 98.60
_cell_angle_gamma 90.09
loop_
_symmetry_equiv_pos_as_xyz
'x,y,z'
loop_
_atom_site_label
_atom_site_type_symbol
_atom_site_fract_x
_atom_site_fract_y
_atom_site_fract_z
Mg1 Mg 0.0000 0.0000 0.0000
Mg2 Mg 0.0503 0.6360 0.1670
Mg3 Mg 0.1489 0.1272 0.4663
Mg4 Mg 0.3936 0.7881 0.6830
Mg5 Mg 0.5004 0.0815 0.9924
Mg6 Mg 0.5566 0.5524 0.1871
Mg7 Mg 0.6412 0.0559 0.4763
Mg8 Mg 0.9116 0.8535 0.7073
Si1 Si 0.0887 0.4781 0.6659
Si2 Si 0.1837 0.3734 0.9583
Si3 Si 0.2141 0.1671 0.7501
Si4 Si 0.2725 0.2617 0.2094
Si5 Si 0.2782 0.7042 0.9378
Si6 Si 0.3300 0.7471 0.4106
Si7 Si 0.3749 0.9281 0.2198
Si8 Si 0.4543 0.4357 0.4843
Si9 Si 0.6194 0.1600 0.7469
Si10 Si 0.6777 0.6991 0.9266
Si11 Si 0.7021 0.4888 0.7115
Si12 Si 0.7769 0.9268 0.2291
Si13 Si 0.7859 0.3710 0.9671
Si14 Si 0.8382 0.4221 0.4388
Si15 Si 0.8759 0.2594 0.2189
Si16 Si 0.9344 0.7551 0.4335
```

Peak list (6 most intense, 2θ from 15° to 90°, by angle)
2θ 34.8, I 46.5
2θ 36.0, I 100.0
2θ 39.5, I 39.4
2θ 40.3, I 83.7
2θ 41.2, I 51.2
2θ 44.1, I 34.9


Entry 3:
# BaNdTi4O12
Theoretical powder X-ray diffraction pattern, Cu Kα, 1.54184 Å. Input: a cell relaxed with GGA-PBE.
No peak broadening, texture or thermal motion is included.

```
data_BaNdTi4O12
_symmetry_space_group_name_H-M 'P 4/m m m'
_symmetry_Int_Tables_number 123
_symmetry_space_group_name_Hall '-P 4 2'
_cell_length_a 5.5480
_cell_length_b 5.5480
_cell_length_c 7.8096
_cell_angle_alpha 90.00
_cell_angle_beta 90.00
_cell_angle_gamma 90.00
loop_
_atom_site_label
_atom_site_type_symbol
_atom_site_fract_x
_atom_site_fract_y
_atom_site_fract_z
Ba1 Ba 0.0000 0.0000 0.0000
Nd1 Nd 0.5000 0.5000 0.5000
Ti1 Ti 0.0000 0.5000 0.2506
O1 O 0.0000 0.5000 0.0000
O2 O 0.0000 0.5000 0.5000
O3 O 0.2573 0.2573 0.2630
```

Peak list (6 most intense, 2θ from 15° to 90°, by angle)
2θ 19.6, I 100.0
2θ 32.3, I 90.0
2θ 38.1, I 36.7
2θ 38.2, I 18.0
2θ 46.3, I 28.2
2θ 57.6, I 23.0


Entry 4:
# Re3Te4Br3
Theoretical powder X-ray diffraction pattern, Cu Kα, 1.54184 Å. Input: a cell relaxed with GGA-PBE.
No peak broadening, texture or thermal motion is included.

```
data_Re3Te4Br3
_symmetry_space_group_name_H-M 'P -1'
_symmetry_Int_Tables_number 2
_cell_length_a 9.5740
_cell_length_b 9.5934
_cell_length_c 13.6722
_cell_angle_alpha 84.38
_cell_angle_beta 84.38
_cell_angle_gamma 82.50
loop_
_symmetry_equiv_pos_as_xyz
'x,y,z'
'-x,-y,-z'
loop_
_atom_site_label
_atom_site_type_symbol
_atom_site_fract_x
_atom_site_fract_y
_atom_site_fract_z
Re1 Re 0.0102 0.0120 0.3594
Re2 Re 0.1109 0.8178 0.4998
Re3 Re 0.1654 0.0861 0.4933
Re4 Re 0.3106 0.5317 0.0555
Re5 Re 0.4391 0.4222 0.8904
Re6 Re 0.4804 0.6826 0.9323
Te1 Te 0.0475 0.2622 0.6333
Te2 Te 0.0659 0.2836 0.3477
Te3 Te 0.2244 0.6376 0.8751
Te4 Te 0.2630 0.2724 0.0119
Te5 Te 0.2724 0.8930 0.6363
Te6 Te 0.2936 0.9139 0.3530
Te7 Te 0.3477 0.7952 0.0997
Te8 Te 0.3930 0.4162 0.2370
Br1 Br 0.0202 0.0230 0.1700
Br2 Br 0.0549 0.5785 0.1322
Br3 Br 0.2589 0.5777 0.5011
Br4 Br 0.3623 0.3193 0.7417
Br5 Br 0.3920 0.2043 0.4839
Br6 Br 0.4482 0.9357 0.8483
```

Peak list (6 most intense, 2θ from 15° to 90°, by angle)
2θ 33.0, I 100.0
2θ 39.9, I 80.3
2θ 40.2, I 60.7
2θ 41.9, I 62.7
2θ 44.8, I 90.9
2θ 54.1, I 60.7